This entry pairs a crystal structure of TiO2 with its calculated X-ray powder pattern. Radiation: Cu Kα, 1.54184 Å. Structure: a structure optimized by DFT (GGA-PBE).
Lines closer than 0.1° are merged.

Crystal structure
a = 6.028 Å, b = 6.028 Å, c = 14.616 Å
α = 90.00°, β = 90.00°, γ = 120.00°
Fractional coordinates of all 36 atoms:
1 Ti 0.000 0.000 0.000
2 Ti 0.000 0.000 0.364
3 Ti 0.178 0.355 0.155
4 Ti 0.178 0.822 0.155
5 Ti 0.322 0.161 0.817
6 Ti 0.333 0.667 0.691
7 Ti 0.511 0.022 0.484
8 Ti 0.511 0.489 0.484
9 Ti 0.645 0.822 0.155
10 Ti 0.839 0.161 0.817
11 Ti 0.839 0.678 0.817
12 Ti 0.978 0.489 0.484
13 O 0.000 0.000 0.232
14 O 0.000 0.000 0.742
15 O 0.014 0.507 0.741
16 O 0.023 0.511 0.214
17 O 0.144 0.288 0.886
18 O 0.144 0.856 0.886
19 O 0.165 0.330 0.408
20 O 0.165 0.835 0.408
21 O 0.287 0.143 0.070
22 O 0.333 0.667 0.080
23 O 0.333 0.667 0.557
24 O 0.368 0.184 0.547
25 O 0.489 0.511 0.214
26 O 0.489 0.977 0.214
27 O 0.493 0.507 0.741
28 O 0.493 0.986 0.741
29 O 0.667 0.333 0.408
30 O 0.667 0.333 0.869
31 O 0.670 0.835 0.408
32 O 0.712 0.856 0.886
33 O 0.816 0.184 0.547
34 O 0.816 0.632 0.547
35 O 0.857 0.143 0.070
36 O 0.857 0.713 0.070

Most intense lines, 10° ≤ 2θ ≤ 90°, sorted by position:
two_theta	d [Å]	I_rel
18.04	4.916	55
18.21	4.872	100
20.91	4.248	50
29.85	2.994	23
34.96	2.567	96
35.19	2.551	17
42.56	2.124	87
56.43	1.631	25
61.53	1.507	37
62.00	1.497	32

---

This entry pairs a crystal structure of TiO with its calculated X-ray powder pattern. Radiation: Cu Kα, 1.54184 Å. Structure: a structure optimized by DFT (GGA-PBE).
Lines closer than 0.1° are merged.

Crystal structure
a = 3.033 Å, b = 3.033 Å, c = 3.033 Å
α = 60.00°, β = 60.00°, γ = 60.00°
Fractional coordinates of all 2 atoms:
1 Ti 0.000 0.000 0.000
2 O 0.500 0.500 0.500

Most intense lines, 10° ≤ 2θ ≤ 90°, sorted by position:
two_theta	d [Å]	I_rel
36.27	2.476	50
42.13	2.145	100
61.11	1.517	56
73.18	1.293	19
77.01	1.238	17